No. 1
Er3In: computed X-ray diffraction stick pattern (Cu Kα, 1.54184 Å), based on the GGA-PBE geometry in the Materials Project.

Peak list (10 most intense, 15° ≤ 2θ ≤ 90°, by intensity)
hkl  2theta  d (Å)  intensity
2 0 1  34.33  2.612  100.0
0 0 2  32.64  2.743  25.5
2 0 0  30.08  2.970  23.6
2 2 2  64.03  1.454  21.7
2 0 3  59.34  1.557  20.7
2 2 0  53.43  1.715  18.8
2 0 2  44.98  2.015  15.7
4 0 1  65.06  1.434  15.5
4 2 1  89.00  1.100  13.6
4 0 3  83.93  1.153  7.8

Structure:
```
data_Er3In
_chemical_formula_sum 'Er6 In2'
_cell_length_a 6.8598
_cell_length_b 6.8598
_cell_length_c 5.4866
_cell_angle_alpha 90.00
_cell_angle_beta 90.00
_cell_angle_gamma 120.00
_symmetry_space_group_name_H-M 'P 63/m m c'
_symmetry_Int_Tables_number 194
_symmetry_space_group_name_Hall '-P 6c 2c'
loop_
_atom_site_label
_atom_site_type_symbol
_atom_site_fract_x
_atom_site_fract_y
_atom_site_fract_z
Er1 Er 0.1702 0.3404 0.2500
In1 In 0.3333 0.6667 0.7500
```

No. 2
Er4InIr: computed X-ray diffraction stick pattern (Cu Kα, 1.54184 Å), based on the GGA-PBE geometry in the Materials Project.

Peak list (10 most intense, 15° ≤ 2θ ≤ 90°, by intensity)
hkl  2theta  d (Å)  intensity
5 1 1  34.37  2.609  100.0
4 2 2  32.35  2.767  41.2
4 4 0  37.53  2.397  40.6
6 6 0  57.70  1.598  39.9
3 3 1  28.70  3.110  16.6
10 6 4  89.02  1.100  16.1
5 5 5  59.00  1.565  14.6
9 5 1  72.06  1.311  14.2
11 5 1  87.17  1.118  13.4
5 5 3  51.80  1.765  12.5

Structure:
```
data_Er4InIr
_chemical_formula_sum 'Er64 In16 Ir16'
_cell_length_a 13.5576
_cell_length_b 13.5576
_cell_length_c 13.5576
_cell_angle_alpha 90.00
_cell_angle_beta 90.00
_cell_angle_gamma 90.00
_symmetry_space_group_name_H-M 'F -4 3 m'
_symmetry_Int_Tables_number 216
_symmetry_space_group_name_Hall 'F -4 2 3'
loop_
_atom_site_label
_atom_site_type_symbol
_atom_site_fract_x
_atom_site_fract_y
_atom_site_fract_z
Er1 Er 0.0000 0.0000 0.1896
Er2 Er 0.0588 0.2500 0.2500
Er3 Er 0.0993 0.0993 0.5993
In1 In 0.1669 0.1669 0.8331
Ir1 Ir 0.1086 0.1086 0.3914
```

No. 3
Er16In4Ir4O: computed X-ray diffraction stick pattern (Cu Kα, 1.54184 Å), based on the GGA-PBE geometry in the Materials Project.

Peak list (10 most intense, 15° ≤ 2θ ≤ 90°, by intensity)
hkl  2theta  d (Å)  intensity
5 1 1  34.50  2.599  100.0
4 2 2  32.47  2.757  40.4
6 6 0  57.93  1.592  40.0
4 4 0  37.67  2.388  37.5
3 3 1  28.81  3.099  16.2
10 6 4  89.44  1.096  14.5
5 5 5  59.25  1.560  14.2
11 5 1  87.58  1.114  13.6
9 3 3  69.21  1.358  13.1
9 5 1  72.37  1.306  12.1

Structure:
```
data_Er16In4Ir4O
_chemical_formula_sum 'Er64 In16 Ir16 O4'
_cell_length_a 13.5071
_cell_length_b 13.5071
_cell_length_c 13.5071
_cell_angle_alpha 90.00
_cell_angle_beta 90.00
_cell_angle_gamma 90.00
_symmetry_space_group_name_H-M 'F -4 3 m'
_symmetry_Int_Tables_number 216
_symmetry_space_group_name_Hall 'F -4 2 3'
loop_
_atom_site_label
_atom_site_type_symbol
_atom_site_fract_x
_atom_site_fract_y
_atom_site_fract_z
Er1 Er 0.0000 0.0000 0.1843
Er2 Er 0.0586 0.2500 0.2500
Er3 Er 0.0992 0.0992 0.5992
In1 In 0.1665 0.1665 0.8335
Ir1 Ir 0.1088 0.1088 0.3912
O1 O 0.0000 0.0000 0.0000
```

No. 4
LaErIn2: computed X-ray diffraction stick pattern (Cu Kα, 1.54184 Å), based on the GGA-PBE geometry in the Materials Project.

Peak list (10 most intense, 15° ≤ 2θ ≤ 90°, by intensity)
hkl  2theta  d (Å)  intensity
2 2 0  32.85  2.727  100.0
4 2 2  58.64  1.574  37.3
4 0 0  47.14  1.928  18.1
6 2 0  78.43  1.219  15.9
4 4 0  68.87  1.363  11.4
4 4 4  87.66  1.113  4.1
2 0 0  23.06  3.856  1.9
4 2 0  53.11  1.725  0.9
2 2 2  40.52  2.226  0.6
1 1 1  19.94  4.453  0.6

Structure:
```
data_LaErIn2
_chemical_formula_sum 'La4 Er4 In8'
_cell_length_a 7.7123
_cell_length_b 7.7123
_cell_length_c 7.7123
_cell_angle_alpha 90.00
_cell_angle_beta 90.00
_cell_angle_gamma 90.00
_symmetry_space_group_name_H-M 'F m -3 m'
_symmetry_Int_Tables_number 225
_symmetry_space_group_name_Hall '-F 4 2 3'
loop_
_atom_site_label
_atom_site_type_symbol
_atom_site_fract_x
_atom_site_fract_y
_atom_site_fract_z
La1 La 0.0000 0.0000 0.0000
Er1 Er 0.0000 0.0000 0.5000
In1 In 0.2500 0.2500 0.2500
```

No. 5
LiErIn2: computed X-ray diffraction stick pattern (Cu Kα, 1.54184 Å), based on the GGA-PBE geometry in the Materials Project.

Peak list (10 most intense, 15° ≤ 2θ ≤ 90°, by intensity)
hkl  2theta  d (Å)  intensity
2 2 0  35.10  2.556  100.0
1 1 1  21.28  4.175  36.8
4 2 2  62.97  1.476  35.7
3 1 1  41.42  2.180  19.9
4 0 0  50.49  1.808  17.6
6 2 0  84.80  1.143  15.7
4 4 0  74.19  1.278  11.0
3 3 1  55.38  1.659  8.5
5 1 1  67.28  1.392  6.4
5 3 1  78.21  1.222  6.3

Structure:
```
data_LiErIn2
_chemical_formula_sum 'Li4 Er4 In8'
_cell_length_a 7.2309
_cell_length_b 7.2309
_cell_length_c 7.2309
_cell_angle_alpha 90.00
_cell_angle_beta 90.00
_cell_angle_gamma 90.00
_symmetry_space_group_name_H-M 'F m -3 m'
_symmetry_Int_Tables_number 225
_symmetry_space_group_name_Hall '-F 4 2 3'
loop_
_atom_site_label
_atom_site_type_symbol
_atom_site_fract_x
_atom_site_fract_y
_atom_site_fract_z
Li1 Li 0.0000 0.0000 0.0000
Er1 Er 0.0000 0.0000 0.5000
In1 In 0.2500 0.2500 0.2500
```

No. 6
ErMgIn: computed X-ray diffraction stick pattern (Cu Kα, 1.54184 Å), based on the GGA-PBE geometry in the Materials Project.

Peak list (10 most intense, 15° ≤ 2θ ≤ 90°, by intensity)
hkl  2theta  d (Å)  intensity
2 0 1  33.63  2.665  100.0
1 1 1  30.63  2.919  66.2
3 2 1  65.53  1.424  43.3
3 0 0  41.49  2.176  37.7
3 1 1  54.44  1.685  32.8
1 1 0  23.60  3.769  27.2
0 0 2  39.05  2.306  24.8
2 0 0  27.32  3.265  24.6
2 2 0  48.30  1.884  21.3
2 1 0  36.40  2.468  18.2

Structure:
```
data_ErMgIn
_chemical_formula_sum 'Er3 Mg3 In3'
_cell_length_a 7.5396
_cell_length_b 7.5396
_cell_length_c 4.6127
_cell_angle_alpha 90.00
_cell_angle_beta 90.00
_cell_angle_gamma 120.00
_symmetry_space_group_name_H-M 'P -6 2 m'
_symmetry_Int_Tables_number 189
_symmetry_space_group_name_Hall 'P -6 -2'
loop_
_atom_site_label
_atom_site_type_symbol
_atom_site_fract_x
_atom_site_fract_y
_atom_site_fract_z
Er1 Er 0.0000 0.5756 0.0000
Mg1 Mg 0.0000 0.2455 0.5000
In1 In 0.0000 0.0000 0.0000
In2 In 0.3333 0.6667 0.5000
```

No. 7
Er3InN: computed X-ray diffraction stick pattern (Cu Kα, 1.54184 Å), based on the GGA-PBE geometry in the Materials Project.

Peak list (10 most intense, 15° ≤ 2θ ≤ 90°, by intensity)
hkl  2theta  d (Å)  intensity
1 1 1  32.55  2.751  100.0
2 0 0  37.76  2.382  54.9
3 1 1  64.91  1.437  41.5
2 2 0  54.47  1.684  37.8
3 3 1  89.71  1.093  18.2
2 2 2  68.18  1.375  12.8
4 0 0  80.67  1.191  6.0
1 0 0  18.62  4.764  3.3
2 1 0  42.42  2.131  1.5
3 0 0  58.08  1.588  0.8

Structure:
```
data_Er3InN
_chemical_formula_sum 'Er3 In1 N1'
_cell_length_a 4.7645
_cell_length_b 4.7645
_cell_length_c 4.7645
_cell_angle_alpha 90.00
_cell_angle_beta 90.00
_cell_angle_gamma 90.00
_symmetry_space_group_name_H-M 'P m -3 m'
_symmetry_Int_Tables_number 221
_symmetry_space_group_name_Hall '-P 4 2 3'
loop_
_atom_site_label
_atom_site_type_symbol
_atom_site_fract_x
_atom_site_fract_y
_atom_site_fract_z
Er1 Er 0.0000 0.0000 0.5000
In1 In 0.5000 0.5000 0.5000
N1 N 0.0000 0.0000 0.0000
```

No. 8
Er5InNi2: computed X-ray diffraction stick pattern (Cu Kα, 1.54184 Å), based on the GGA-PBE geometry in the Materials Project.

Peak list (10 most intense, 15° ≤ 2θ ≤ 90°, by intensity)
hkl  2theta  d (Å)  intensity
2 1 3  33.20  2.699  100.0
3 1 0  37.46  2.401  67.5
2 0 4  35.84  2.506  51.0
2 1 1  27.09  3.291  40.3
1 1 4  31.58  2.833  34.5
3 3 4  58.53  1.577  28.2
3 1 8  68.51  1.370  20.0
2 1 5  43.12  2.098  19.7
2 2 0  33.38  2.684  16.2
2 1 7  55.27  1.662  13.5

Structure:
```
data_Er5InNi2
_chemical_formula_sum 'Er20 In4 Ni8'
_cell_length_a 7.5929
_cell_length_b 7.5929
_cell_length_c 13.3411
_cell_angle_alpha 90.00
_cell_angle_beta 90.00
_cell_angle_gamma 90.00
_symmetry_space_group_name_H-M 'I 4/m c m'
_symmetry_Int_Tables_number 140
_symmetry_space_group_name_Hall '-I 4 2c'
loop_
_atom_site_label
_atom_site_type_symbol
_atom_site_fract_x
_atom_site_fract_y
_atom_site_fract_z
Er1 Er 0.0000 0.0000 0.0000
Er2 Er 0.1615 0.3385 0.1348
In1 In 0.0000 0.0000 0.2500
Ni1 Ni 0.1240 0.3760 0.5000
```

No. 9
ErInNi4: computed X-ray diffraction stick pattern (Cu Kα, 1.54184 Å), based on the GGA-PBE geometry in the Materials Project.

Peak list (10 most intense, 15° ≤ 2θ ≤ 90°, by intensity)
hkl  2theta  d (Å)  intensity
3 1 1  42.74  2.116  100.0
2 2 0  36.20  2.481  57.9
5 1 1  69.62  1.351  29.8
4 4 0  76.84  1.241  22.1
4 2 2  65.12  1.432  20.6
2 2 2  44.74  2.026  18.4
1 1 1  21.94  4.052  9.5
6 2 0  88.02  1.110  9.3
3 3 1  57.22  1.610  2.7
2 0 0  25.38  3.509  2.3

Structure:
```
data_ErInNi4
_chemical_formula_sum 'Er4 In4 Ni16'
_cell_length_a 7.0176
_cell_length_b 7.0176
_cell_length_c 7.0176
_cell_angle_alpha 90.00
_cell_angle_beta 90.00
_cell_angle_gamma 90.00
_symmetry_space_group_name_H-M 'F -4 3 m'
_symmetry_Int_Tables_number 216
_symmetry_space_group_name_Hall 'F -4 2 3'
loop_
_atom_site_label
_atom_site_type_symbol
_atom_site_fract_x
_atom_site_fract_y
_atom_site_fract_z
Er1 Er 0.0000 0.0000 0.0000
In1 In 0.2500 0.2500 0.2500
Ni1 Ni 0.1242 0.1242 0.6242
```

No. 10
ErInO3: computed X-ray diffraction stick pattern (Cu Kα, 1.54184 Å), based on the GGA-PBE geometry in the Materials Project.

Peak list (10 most intense, 15° ≤ 2θ ≤ 90°, by intensity)
hkl  2theta  d (Å)  intensity
1 2 1  31.23  2.864  100.0
0 0 2  32.43  2.761  21.8
1 2 3  57.10  1.613  21.1
2 4 0  54.81  1.675  19.8
2 0 0  30.61  2.920  19.5
2 0 2  45.20  2.006  15.9
0 4 0  44.31  2.044  12.0
0 4 2  55.97  1.643  11.3
1 1 1  24.72  3.602  10.4
3 1 1  50.98  1.791  10.2

Structure:
```
data_ErInO3
_chemical_formula_sum 'Er4 In4 O12'
_cell_length_a 5.8404
_cell_length_b 8.1768
_cell_length_c 5.5212
_cell_angle_alpha 90.00
_cell_angle_beta 90.00
_cell_angle_gamma 90.00
_symmetry_space_group_name_H-M 'P n m a'
_symmetry_Int_Tables_number 62
loop_
_symmetry_equiv_pos_as_xyz
'x,y,z'
'-x,-y,-z'
'-x+1/2,-y,z+1/2'
'x+1/2,y,-z+1/2'
'x+1/2,-y+1/2,-z+1/2'
'-x+1/2,y+1/2,z+1/2'
'-x,y+1/2,-z'
'x,-y+1/2,z'
loop_
_atom_site_label
_atom_site_type_symbol
_atom_site_fract_x
_atom_site_fract_y
_atom_site_fract_z
Er1 Er 0.0627 0.2500 0.0179
In1 In 0.0000 0.0000 0.5000
O1 O 0.0767 0.7500 0.3519
O2 O 0.1835 0.5752 0.8202
```